No. 1
Hf2Ga3Au2: theoretical PXRD pattern (Cu Kα (λ = 1.5418 Å)), based on a cell relaxed with GGA-PBE.
Lines closer than 0.1° are merged.

Main lines, by intensity (10° ≤ 2θ ≤ 90°):
| index | 2θ (°) | I_rel |
| --- | --- | --- |
| 1 2 1 | 34.42 | 100 |
| 0 1 2 | 27.51 | 90 |
| 2 0 -2 | 38.72 | 66 |
| 1 3 -1 | 44.72 | 56 |
| 2 1 0 | 35.97 | 55 |
| 1 2 -3 | 46.94 | 33 |
| 0 1 3 | 38.91 | 29 |
| 3 2 -1 | 58.16 | 25 |

Structure:
```
data_Hf2Ga3Au2
_chemical_formula_sum 'Hf4 Ga6 Au4'
_cell_length_a 5.4224
_cell_length_b 6.7544
_cell_length_c 7.4573
_cell_angle_alpha 90.00
_cell_angle_beta 97.66
_cell_angle_gamma 90.00
_space_group_name_H-M_alt 'P 1 21/c 1'
_space_group_IT_number 14
_space_group_name_Hall '-P 2ybc'
loop_
_atom_site_label
_atom_site_type_symbol
_atom_site_fract_x
_atom_site_fract_y
_atom_site_fract_z
Hf1 Hf 0.1390 0.1184 0.1630
Ga1 Ga 0.0000 0.0000 0.5000
Ga2 Ga 0.3445 0.0511 0.8380
Au1 Au 0.3903 0.6809 0.9087
```

No. 2
Ce2AgSe2O2: theoretical PXRD pattern (Cu Kα (λ = 1.5418 Å)), based on a cell relaxed with GGA-PBE.
Lines closer than 0.1° are merged.

Main lines, by intensity (10° ≤ 2θ ≤ 90°):
| index | 2θ (°) | I_rel |
| --- | --- | --- |
| 1 0 1 | 26.72 | 100 |
| 1 0 4 | 40.55 | 44 |
| 1 1 0 | 45.05 | 43 |
| 1 0 2 | 29.94 | 38 |
| 1 1 5 | 61.04 | 20 |
| 0 1 5 | 47.17 | 16 |
| 0 2 1 | 53.15 | 14 |
| 0 2 4 | 62.20 | 14 |

Structure:
```
data_Ce2AgSe2O2
_chemical_formula_sum 'Ce2 Ag1 Se2 O2'
_cell_length_a 4.0244
_cell_length_b 4.0244
_cell_length_c 11.5628
_cell_angle_alpha 90.00
_cell_angle_beta 90.00
_cell_angle_gamma 120.00
_space_group_name_H-M_alt 'P -3 m 1'
_space_group_IT_number 164
_space_group_name_Hall '-P 3 2"'
loop_
_atom_site_label
_atom_site_type_symbol
_atom_site_fract_x
_atom_site_fract_y
_atom_site_fract_z
Ce1 Ce 0.3333 0.6667 0.1293
Ag1 Ag 0.0000 0.0000 0.5000
Se1 Se 0.0000 0.0000 0.2857
O1 O 0.3333 0.6667 0.9285
```

No. 3
Tb2Sm5Ge4: theoretical PXRD pattern (Cu Kα (λ = 1.5418 Å)), based on a cell relaxed with GGA-PBE.
Lines closer than 0.1° are merged.

Main lines, by intensity (10° ≤ 2θ ≤ 90°):
| index | 2θ (°) | I_rel |
| --- | --- | --- |
| 6 0 1 | 28.64 | 100 |
| 1 1 2 | 32.68 | 80 |
| 1 1 1 | 26.30 | 71 |
| 3 1 -2 | 33.65 | 64 |
| 3 1 2 | 35.46 | 53 |
| 3 1 -1 | 28.21 | 51 |
| 6 0 -2 | 31.64 | 43 |
| 0 2 0 | 47.66 | 43 |

Structure:
```
data_Tb2Sm5Ge4
_chemical_formula_sum 'Tb4 Sm10 Ge8'
_cell_length_a 21.2769
_cell_length_b 3.8162
_cell_length_c 8.2329
_cell_angle_alpha 90.00
_cell_angle_beta 96.22
_cell_angle_gamma 90.00
_space_group_name_H-M_alt 'C 1 2/m 1'
_space_group_IT_number 12
_space_group_name_Hall '-C 2y'
loop_
_atom_site_label
_atom_site_type_symbol
_atom_site_fract_x
_atom_site_fract_y
_atom_site_fract_z
Tb1 Tb 0.2355 0.0000 0.1673
Sm1 Sm 0.0000 0.0000 0.5000
Sm2 Sm 0.1003 0.5000 0.9315
Sm3 Sm 0.1615 0.5000 0.4717
Ge1 Ge 0.0272 0.5000 0.2355
Ge2 Ge 0.1045 0.0000 0.2165
```